Simulated XRD peak list of Nb4Fe2N for a wavelength of 1.5418 Å, from a PBE-relaxed structure.

Principal peaks in the range 2θ = 10–90°, by angle:
Position (°2θ), d_spacing, I (rel.)
33.3, 2.689, 26
37.6, 2.392, 41
40.0, 2.256, 100
43.7, 2.072, 27
46.5, 1.953, 6
51.7, 1.767, 9
65.2, 1.432, 8
67.9, 1.381, 37
69.5, 1.353, 10
81.8, 1.178, 19

Structure:
a b c (Å): 8.287 8.287 8.287
angles (deg): 60.00 60.00 60.00
Atoms (fractional coordinates):
Nb (0.000, 0.000, 0.000)
Nb (0.000, 0.000, 0.500)
Nb (0.000, 0.500, 0.000)
Nb (0.190, 0.190, 0.560)
Nb (0.190, 0.560, 0.190)
Nb (0.190, 0.560, 0.560)
Nb (0.440, 0.440, 0.810)
Nb (0.440, 0.810, 0.440)
Nb (0.440, 0.810, 0.810)
Nb (0.500, 0.000, 0.000)
Nb (0.560, 0.190, 0.190)
Nb (0.560, 0.190, 0.560)
Nb (0.560, 0.560, 0.190)
Nb (0.810, 0.440, 0.440)
Nb (0.810, 0.440, 0.810)
Nb (0.810, 0.810, 0.440)
Fe (0.118, 0.794, 0.794)
Fe (0.206, 0.206, 0.206)
Fe (0.206, 0.206, 0.882)
Fe (0.206, 0.882, 0.206)
Fe (0.794, 0.118, 0.794)
Fe (0.794, 0.794, 0.118)
Fe (0.794, 0.794, 0.794)
Fe (0.882, 0.206, 0.206)
N (0.000, 0.500, 0.500)
N (0.500, 0.000, 0.500)
N (0.500, 0.500, 0.000)
N (0.500, 0.500, 0.500)